EuGe12Pt4: theoretical powder diffractogram (Cu Kα X-rays), based on a PBE-relaxed structure.
Intensities are scaled so that the largest is 100.

a = 8.818 Å, b = 8.818 Å, c = 8.818 Å
α = 90.00°, β = 90.00°, γ = 90.00°
Space group Im-3 (No. 204)
Symmetry-distinct sites (fractional):
Eu 0.000 0.000 0.000 [2 per cell]
Ge 0.000 0.354 0.151 [24 per cell]
Pt 0.250 0.250 0.250 [8 per cell]

Principal peaks in the range 10° ≤ 2θ ≤ 90°, sorted by position:
index	two_theta	intensity
2 0 0	20.14	47
2 2 0	28.63	100
3 0 1	32.10	82
3 1 2	38.19	38
4 0 2	46.03	73
4 2 2	50.72	85